No. 1
# TaNiOsPb
Theoretical PXRD pattern, Cu Ka. Input: a GGA-PBE-relaxed structure.
Kinematic intensities with the Lorentz-polarization factor, no thermal factor.

Structural model:
abc: 4.5538 4.5538 4.5538
angles: 60.00 60.00 60.00
Sites, in units of the cell vectors:
Ta1 0.0000 0.0000 0.0000
Ni1 0.5000 0.5000 0.5000
Os1 0.7500 0.7500 0.7500
Pb1 0.2500 0.2500 0.2500

Peak list (6 most intense, 2θ = 10–90°, low angle first)
Position (°2θ), I_rel
23.9, 8
27.7, 7
39.6, 100
57.2, 17
71.8, 35
85.2, 11

No. 2
# SmAl5
Theoretical PXRD pattern, Cu Ka. Input: a GGA-PBE-relaxed structure.
Kinematic intensities with the Lorentz-polarization factor, no thermal factor.

Structural model:
abc: 5.4738 5.4738 17.7281
angles: 90.00 90.00 120.00
Sites, in units of the cell vectors:
Sm1 0.3333 0.6667 0.1498
Sm2 0.3333 0.6667 0.3502
Sm3 0.6667 0.3333 0.6498
Sm4 0.6667 0.3333 0.8502
Al1 0.0000 0.0000 0.1105
Al2 0.0000 0.0000 0.3895
Al3 0.0000 0.0000 0.6105
Al4 0.0000 0.0000 0.8895
Al5 0.0000 0.3648 0.5000
Al6 0.0000 0.6352 0.0000
Al7 0.1653 0.3306 0.7500
Al8 0.1653 0.8347 0.7500
Al9 0.3306 0.1653 0.2500
Al10 0.3333 0.6667 0.6207
Al11 0.3333 0.6667 0.8793
Al12 0.3648 0.0000 0.5000
Al13 0.3648 0.3648 0.0000
Al14 0.6352 0.0000 0.0000
Al15 0.6352 0.6352 0.5000
Al16 0.6667 0.3333 0.1207
Al17 0.6667 0.3333 0.3793
Al18 0.6694 0.8347 0.7500
Al19 0.8347 0.1653 0.2500
Al20 0.8347 0.6694 0.2500

Peak list (6 most intense, 2θ = 10–90°, low angle first)
Position (°2θ), I_rel
19.4, 77
31.5, 66
32.7, 54
38.3, 37
38.7, 100
57.6, 25

No. 3
# Y2TmAl7Ag2
Theoretical PXRD pattern, Cu Ka. Input: a GGA-PBE-relaxed structure.
Kinematic intensities with the Lorentz-polarization factor, no thermal factor.

Structural model:
abc: 9.3269 9.3269 9.3269
angles: 34.52 34.52 34.52
Sites, in units of the cell vectors:
Y1 0.1421 0.1421 0.1421
Y2 0.8579 0.8579 0.8579
Tm1 0.0000 0.0000 0.0000
Al1 0.0760 0.5874 0.5874
Al2 0.4126 0.4126 0.9240
Al3 0.4126 0.9240 0.4126
Al4 0.5000 0.5000 0.5000
Al5 0.5874 0.0760 0.5874
Al6 0.5874 0.5874 0.0760
Al7 0.9240 0.4126 0.4126
Ag1 0.3357 0.3357 0.3357
Ag2 0.6643 0.6643 0.6643

Peak list (6 most intense, 2θ = 10–90°, low angle first)
Position (°2θ), I_rel
10.1, 45
20.3, 33
32.4, 71
38.5, 100
45.1, 20
61.8, 24

No. 4
# InNi3As
Theoretical PXRD pattern, Cu Ka. Input: a GGA-PBE-relaxed structure.
Kinematic intensities with the Lorentz-polarization factor, no thermal factor.

Structural model:
abc: 5.7648 5.7648 6.9268
angles: 90.00 90.00 141.54
Sites, in units of the cell vectors:
In1 0.0000 0.0000 0.0000
In2 0.0000 0.0000 0.5000
Ni1 0.3286 0.6714 0.5676
Ni2 0.3286 0.6714 0.9324
Ni3 0.4666 0.5334 0.2500
Ni4 0.5334 0.4666 0.7500
Ni5 0.6714 0.3286 0.0676
Ni6 0.6714 0.3286 0.4324
As1 0.2518 0.7482 0.2500
As2 0.7482 0.2518 0.7500

Peak list (6 most intense, 2θ = 10–90°, low angle first)
Position (°2θ), I_rel
34.2, 59
36.1, 52
43.3, 100
46.8, 50
47.9, 44
50.1, 31

No. 5
# InAg3WS4
Theoretical PXRD pattern, Cu Ka. Input: a GGA-PBE-relaxed structure.
Kinematic intensities with the Lorentz-polarization factor, no thermal factor.

Structural model:
abc: 6.2147 6.2147 6.2147
angles: 90.00 90.00 90.00
Sites, in units of the cell vectors:
In1 0.0000 0.0000 0.0000
Ag1 0.0000 0.5000 0.5000
Ag2 0.5000 0.0000 0.5000
Ag3 0.5000 0.5000 0.0000
W1 0.5000 0.5000 0.5000
S1 0.2823 0.2823 0.2823
S2 0.2823 0.7177 0.7177
S3 0.7177 0.2823 0.7177
S4 0.7177 0.7177 0.2823

Peak list (6 most intense, 2θ = 10–90°, low angle first)
Position (°2θ), I_rel
14.3, 53
20.2, 41
24.8, 43
28.7, 62
41.1, 100
74.8, 30

No. 6
# Sm3Co11B4
Theoretical PXRD pattern, Cu Ka. Input: a GGA-PBE-relaxed structure.
Kinematic intensities with the Lorentz-polarization factor, no thermal factor.

Structural model:
abc: 5.0900 5.0900 9.7389
angles: 90.00 90.00 120.00
Sites, in units of the cell vectors:
Sm1 0.0000 0.0000 0.0000
Sm2 0.0000 0.0000 0.3411
Sm3 0.0000 0.0000 0.6589
Co1 0.0000 0.5000 0.2034
Co2 0.0000 0.5000 0.5000
Co3 0.0000 0.5000 0.7966
Co4 0.3333 0.6667 0.0000
Co5 0.5000 0.0000 0.2034
Co6 0.5000 0.0000 0.5000
Co7 0.5000 0.0000 0.7966
Co8 0.5000 0.5000 0.2034
Co9 0.5000 0.5000 0.5000
Co10 0.5000 0.5000 0.7966
Co11 0.6667 0.3333 0.0000
B1 0.3333 0.6667 0.3501
B2 0.3333 0.6667 0.6499
B3 0.6667 0.3333 0.3501
B4 0.6667 0.3333 0.6499

Peak list (6 most intense, 2θ = 10–90°, low angle first)
Position (°2θ), I_rel
34.3, 100
35.3, 29
40.9, 95
45.3, 94
62.7, 35
70.3, 24

No. 7
# CsPd2Cl7
Theoretical PXRD pattern, Cu Ka. Input: a GGA-PBE-relaxed structure.
Kinematic intensities with the Lorentz-polarization factor, no thermal factor.

Structural model:
abc: 6.4898 11.6944 7.2438
angles: 90.00 93.76 90.00
Sites, in units of the cell vectors:
Cs1 0.0463 0.2500 0.3435
Cs2 0.9537 0.7500 0.6565
Pd1 0.3896 0.1196 0.8609
Pd2 0.3896 0.3804 0.8609
Pd3 0.6104 0.6196 0.1391
Pd4 0.6104 0.8804 0.1391
Cl1 0.0684 0.2500 0.8478
Cl2 0.2508 0.0049 0.6260
Cl3 0.2508 0.4951 0.6260
Cl4 0.2690 0.5028 0.0881
Cl5 0.2690 0.9972 0.0881
Cl6 0.4739 0.7500 0.3572
Cl7 0.4783 0.7500 0.9068
Cl8 0.5217 0.2500 0.0932
Cl9 0.5261 0.2500 0.6428
Cl10 0.7310 0.0028 0.9119
Cl11 0.7310 0.4972 0.9119
Cl12 0.7492 0.5049 0.3740
Cl13 0.7492 0.9951 0.3740
Cl14 0.9316 0.7500 0.1522

Peak list (6 most intense, 2θ = 10–90°, low angle first)
Position (°2θ), I_rel
15.6, 59
17.8, 87
20.5, 97
25.8, 49
31.6, 100
36.0, 77

No. 8
# Lu6Co30P19
Theoretical PXRD pattern, Cu Ka. Input: a GGA-PBE-relaxed structure.
Kinematic intensities with the Lorentz-polarization factor, no thermal factor.

Structural model:
abc: 14.5794 14.5794 3.5422
angles: 90.00 90.00 120.00
Sites, in units of the cell vectors:
Lu1 0.0378 0.2740 0.0000
Lu2 0.2362 0.9622 0.0000
Lu3 0.4306 0.3711 0.5000
Lu4 0.6289 0.0595 0.5000
Lu5 0.7260 0.7638 0.0000
Lu6 0.9405 0.5694 0.5000
Co1 0.0592 0.4419 0.5000
Co2 0.0680 0.8170 0.5000
Co3 0.1068 0.7111 0.0000
Co4 0.1087 0.0933 0.0000
Co5 0.1830 0.2510 0.5000
Co6 0.1987 0.6429 0.5000
Co7 0.2030 0.5085 0.0000
Co8 0.2593 0.1283 0.5000
Co9 0.2889 0.3957 0.0000
Co10 0.3054 0.7970 0.0000
Co11 0.3571 0.5558 0.5000
Co12 0.3827 0.9408 0.5000
Co13 0.4070 0.2038 0.0000
Co14 0.4442 0.8013 0.5000
Co15 0.4852 0.0839 0.0000
Co16 0.4915 0.6946 0.0000
Co17 0.5582 0.2401 0.5000
Co18 0.5581 0.6173 0.5000
Co19 0.5987 0.5148 0.0000
Co20 0.6043 0.8932 0.0000
Co21 0.6819 0.4418 0.5000
Co22 0.7490 0.9320 0.5000
Co23 0.7599 0.3181 0.5000
Co24 0.7962 0.2032 0.0000
Co25 0.7968 0.5930 0.0000
Co26 0.8690 0.7407 0.5000
Co27 0.8717 0.1310 0.5000
Co28 0.9067 0.0154 0.0000
Co29 0.9161 0.4013 0.0000
Co30 0.9846 0.8913 0.0000
P1 0.0173 0.1187 0.5000
P2 0.0758 0.5463 0.0000
P3 0.1014 0.9827 0.5000
P4 0.1974 0.4103 0.5000
P5 0.2129 0.8026 0.5000
P6 0.2726 0.2350 0.0000
P7 0.3333 0.6667 0.0000
P8 0.3949 0.0990 0.5000
P9 0.4537 0.5295 0.0000
P10 0.4705 0.9242 0.0000
P11 0.5646 0.3491 0.0000
P12 0.5897 0.7871 0.5000
P13 0.6509 0.2154 0.0000
P14 0.7041 0.6051 0.5000
P15 0.7650 0.0376 0.0000
P16 0.7846 0.4354 0.0000
P17 0.8813 0.8986 0.5000
P18 0.9010 0.2959 0.5000
P19 0.9624 0.7274 0.0000

Peak list (6 most intense, 2θ = 10–90°, low angle first)
Position (°2θ), I_rel
37.7, 13
38.2, 18
40.2, 100
51.6, 19
54.9, 21
78.7, 15

No. 9
# PmSb2
Theoretical PXRD pattern, Cu Ka. Input: a GGA-PBE-relaxed structure.
Kinematic intensities with the Lorentz-polarization factor, no thermal factor.

Structural model:
abc: 5.2489 5.2489 5.2489
angles: 60.00 60.00 60.00
Sites, in units of the cell vectors:
Pm1 0.0000 0.0000 0.0000
Sb1 0.2500 0.2500 0.2500
Sb2 0.7500 0.7500 0.7500

Peak list (6 most intense, 2θ = 10–90°, low angle first)
Position (°2θ), I_rel
20.7, 34
34.2, 100
40.3, 18
49.1, 18
61.2, 37
82.1, 16

No. 10
# Zr9Ni11
Theoretical PXRD pattern, Cu Ka. Input: a GGA-PBE-relaxed structure.
Kinematic intensities with the Lorentz-polarization factor, no thermal factor.

Structural model:
abc: 7.7458 7.7458 7.7458
angles: 100.09 100.09 130.50
Sites, in units of the cell vectors:
Zr1 0.0000 0.0000 0.0000
Zr2 0.0908 0.3112 0.4020
Zr3 0.2478 0.5844 0.8322
Zr4 0.3112 0.9092 0.2205
Zr5 0.4156 0.2478 0.6633
Zr6 0.5844 0.7522 0.3367
Zr7 0.6888 0.0908 0.7795
Zr8 0.7522 0.4156 0.1678
Zr9 0.9092 0.6888 0.5980
Ni1 0.0184 0.9140 0.3425
Ni2 0.0860 0.4285 0.1044
Ni3 0.2500 0.7500 0.5000
Ni4 0.3240 0.9816 0.8956
Ni5 0.4285 0.3240 0.3425
Ni6 0.5000 0.5000 0.0000
Ni7 0.5715 0.6760 0.6575
Ni8 0.6760 0.0184 0.1044
Ni9 0.7500 0.2500 0.5000
Ni10 0.9140 0.5715 0.8956
Ni11 0.9816 0.0860 0.6575

Peak list (6 most intense, 2θ = 10–90°, low angle first)
Position (°2θ), I_rel
35.4, 16
39.9, 100
40.6, 44
58.7, 10
72.1, 10
73.4, 13

No. 11
# Er2Tm3Lu2Ni2Te2
Theoretical PXRD pattern, Cu Ka. Input: a GGA-PBE-relaxed structure.
Kinematic intensities with the Lorentz-polarization factor, no thermal factor.

Structural model:
abc: 9.2233 9.2233 9.2233
angles: 156.08 67.18 118.27
Sites, in units of the cell vectors:
Er1 0.1464 0.0000 0.1464
Er2 0.8536 0.0000 0.8536
Tm1 0.1675 0.3528 0.8147
Tm2 0.2289 0.7289 0.5000
Tm3 0.5380 0.3528 0.1853
Lu1 0.5123 0.1470 0.3653
Lu2 0.7817 0.1470 0.6347
Ni1 0.3967 0.6602 0.7366
Ni2 0.9236 0.6602 0.2634
Te1 0.4963 0.4963 0.0000
Te2 0.8898 0.3898 0.5000

Peak list (6 most intense, 2θ = 10–90°, low angle first)
Position (°2θ), I_rel
30.6, 75
33.4, 81
34.4, 100
34.9, 54
47.6, 29
59.3, 37

No. 12
# TlPd
Theoretical PXRD pattern, Cu Ka. Input: a GGA-PBE-relaxed structure.
Kinematic intensities with the Lorentz-polarization factor, no thermal factor.

Structural model:
abc: 3.9477 3.9477 3.9477
angles: 60.00 60.00 60.00
Sites, in units of the cell vectors:
Tl1 0.0000 0.0000 0.0000
Pd1 0.5000 0.5000 0.5000

Peak list (6 most intense, 2θ = 10–90°, low angle first)
Position (°2θ), I_rel
27.7, 16
32.1, 100
46.0, 74
57.2, 26
76.3, 33
85.1, 26